# 1
This entry pairs a crystal structure of Nd3Dy6Er2 with its theoretical powder diffraction line list. Radiation: copper Kα. Structure: a structure optimized by DFT (GGA-PBE).
Intensities are scaled so that the largest is 100.

Cell and atoms:
```
data_Nd3Dy6Er2
_chemical_formula_sum 'Nd9 Dy18 Er6'
_cell_length_a 5.6500
_cell_length_b 5.6500
_cell_length_c 38.8956
_cell_angle_alpha 90.00
_cell_angle_beta 90.00
_cell_angle_gamma 120.00
_symmetry_space_group_name_H-M 'R -3 m'
_symmetry_Int_Tables_number 166
_symmetry_space_group_name_Hall '-R 3 2"'
loop_
_atom_site_label
_atom_site_fract_x
_atom_site_fract_y
_atom_site_fract_z
_atom_site_occupancy
Nd1 0.0000 0.0000 0.0000 1
Nd2 0.0000 0.0000 0.2625 1
Dy1 0.0000 0.0000 0.0842 1
Dy2 0.0000 0.0000 0.1706 1
Dy3 0.0000 0.0000 0.3637 1
Er1 0.0000 0.0000 0.4555 1
```

Most intense lines, 2θ = 10–90°, in order of rising 2θ:
index	d/Å	I/Imax
1 0 10	3.045	10
0 1 11	2.866	82
1 1 0	2.825	100
2 0 11	2.012	30
1 0 22	1.663	8
1 2 11	1.639	31
3 0 0	1.631	20
1 1 21	1.549	9
2 2 0	1.413	12
3 1 11	1.267	13

# 2
This entry pairs a crystal structure of Tc5Te with its theoretical powder diffraction line list. Radiation: copper Kα. Structure: a structure optimized by DFT (GGA-PBE).
Intensities are scaled so that the largest is 100.

Cell and atoms:
```
data_Tc5Te
_chemical_formula_sum 'Tc5 Te1'
_cell_length_a 4.8724
_cell_length_b 4.8724
_cell_length_c 4.5059
_cell_angle_alpha 90.00
_cell_angle_beta 90.00
_cell_angle_gamma 120.00
_symmetry_space_group_name_H-M 'P -6 2 m'
_symmetry_Int_Tables_number 189
_symmetry_space_group_name_Hall 'P -6 -2'
loop_
_atom_site_label
_atom_site_fract_x
_atom_site_fract_y
_atom_site_fract_z
_atom_site_occupancy
Tc1 0.0000 0.6542 0.0000 1
Tc2 0.3333 0.6667 0.5000 1
Te1 0.0000 0.0000 0.5000 1
```

Most intense lines, 2θ = 10–90°, in order of rising 2θ:
index	d/Å	I/Imax
1 1 0	2.436	24
0 0 2	2.253	26
1 1 1	2.143	100
1 1 2	1.654	15
3 0 0	1.407	17
1 1 3	1.279	18
2 2 0	1.218	3
3 0 2	1.193	19
2 2 1	1.176	14
0 0 4	1.126	3

# 3
This entry pairs a crystal structure of H4AuI3N with its theoretical powder diffraction line list. Radiation: copper Kα. Structure: a structure optimized by DFT (GGA-PBE).
Intensities are scaled so that the largest is 100.

Cell and atoms:
```
data_H4AuI3N
_chemical_formula_sum 'H8 Au2 I6 N2'
_cell_length_a 6.0625
_cell_length_b 7.7013
_cell_length_c 11.2890
_cell_angle_alpha 78.71
_cell_angle_beta 84.65
_cell_angle_gamma 77.65
_symmetry_space_group_name_H-M 'P 1'
_symmetry_Int_Tables_number 1
_symmetry_space_group_name_Hall 'P 1'
loop_
_atom_site_label
_atom_site_fract_x
_atom_site_fract_y
_atom_site_fract_z
_atom_site_occupancy
H1 0.0000 0.0000 0.0000 1
H2 0.0067 0.8243 0.9278 1
H3 0.1537 0.7945 0.0544 1
H4 0.2668 0.0150 0.4488 1
H5 0.4083 0.9917 0.5766 1
H6 0.4165 0.8112 0.5088 1
H7 0.5543 0.9795 0.4416 1
H8 0.8664 0.8279 0.0648 1
Au1 0.1995 0.4091 0.7525 1
Au2 0.7195 0.3929 0.2438 1
I1 0.0195 0.3459 0.9806 1
I2 0.3775 0.4726 0.5242 1
I3 0.4559 0.0756 0.7887 1
I4 0.5161 0.7272 0.1838 1
I5 0.9111 0.0592 0.3172 1
I6 0.9448 0.7441 0.7179 1
N1 0.0067 0.8615 0.0116 1
N2 0.4116 0.9498 0.4942 1
```

Most intense lines, 2θ = 10–90°, in order of rising 2θ:
index	d/Å	I/Imax
0 1 0	7.399	21
0 0 2	5.527	27
1 0 1	5.335	34
1 1 1	5.011	100
1 1 3	3.276	14
1 0 -3	3.055	25
0 1 4	2.759	35
1 -2 1	2.718	19
2 2 2	2.506	18
2 1 -2	2.481	14